Computed X-ray diffraction stick pattern of Dy2Te3 for Cu Kα, 1.54184 Å, from DFT lattice parameters and positions (PBE).
Intensities are scaled so that the largest is 100.

Cell and atoms:
a = 8.7535 Å, b = 12.3299 Å, c = 26.1425 Å
α = 90.00°, β = 90.00°, γ = 90.00°
Space group Fddd (No. 70, origin choice 2)
Asymmetric unit:
Dy: 0.1250 0.1250 0.0421 [16 per cell]
Dy: 0.1250 0.1250 0.3756 [16 per cell]
Te: 0.1232 0.3750 0.2078 [32 per cell]
Te: 0.1239 0.3750 0.8750 [16 per cell]

The 10 most intense peaks (10 to 90 degrees two-theta), sorted by position:
hkl  2θ (°)  I/Imax
1 1 1  12.9  17.8
2 0 6  28.9  100.0
4 0 0  41.3  12.8
2 4 6  41.4  63.1
4 4 0  51.2  13.6
0 4 12  51.4  13.5
4 4 12  67.9  11.7
2 8 6  68.0  17.3
6 4 6  75.3  8.6
2 4 18  75.6  12.9

***

Computed X-ray diffraction stick pattern of La5Pm6Er2 for Cu Kα, 1.54184 Å, from DFT lattice parameters and positions (PBE).
Intensities are scaled so that the largest is 100.

Cell and atoms:
a = 11.8391 Å, b = 21.0919 Å, c = 3.6690 Å
α = 90.00°, β = 90.00°, γ = 90.00°
Space group Pbam (No. 55)
Asymmetric unit:
La: 0.0000 0.0000 0.0000 [2 per cell]
La: 0.0851 0.2712 0.0000 [4 per cell]
La: 0.1971 0.5512 0.0000 [4 per cell]
Pm: 0.0631 0.4176 0.5000 [4 per cell]
Pm: 0.0845 0.1305 0.5000 [4 per cell]
Pm: 0.1729 0.8585 0.0000 [4 per cell]
Er: 0.1694 0.7091 0.5000 [4 per cell]

The 10 most intense peaks (10 to 90 degrees two-theta), sorted by position:
hkl  2θ (°)  I/Imax
1 6 0  26.4  13.9
4 1 0  30.5  51.9
1 7 0  30.6  100.0
3 5 0  31.0  14.9
2 3 1  31.4  89.2
2 4 1  33.4  38.1
3 6 0  34.2  13.5
3 3 1  35.8  39.1
0 0 2  49.7  18.7
4 1 2  59.5  30.9